Record 1
This entry pairs a crystal structure of Be3Br4 with its calculated powder XRD pattern. Radiation: CuKα. Structure: a cell relaxed with PBE.
Lines closer than 0.1° are merged.

Largest 6 diffraction maxima, most intense first, 15° ≤ 2θ ≤ 90°:
2theta, I_rel
24.07, 100
47.27, 60
28.02, 52
24.60, 51
39.70, 48
40.38, 38

Structural model:
Unit cell a=4.5402 b=4.5402 c=10.8572 alpha=90.00 beta=90.00 gamma=120.00
Element x y z (fractional)
Be 0.0000 0.5000 0.0000
Be 0.5000 0.0000 0.0000
Be 0.5000 0.5000 0.0000
Br 0.0000 0.0000 0.1543
Br 0.0000 0.0000 0.8457
Br 0.3333 0.6667 0.5000
Br 0.6667 0.3333 0.5000


Record 2
This entry pairs a crystal structure of Be3Br2 with its calculated powder XRD pattern. Radiation: CuKα. Structure: a cell relaxed with PBE.
Lines closer than 0.1° are merged.

Largest 6 diffraction maxima, most intense first, 15° ≤ 2θ ≤ 90°:
2theta, I_rel
31.39, 100
19.61, 66
42.47, 45
35.89, 38
56.88, 22
29.76, 22

Structural model:
Unit cell a=3.4665 b=3.4665 c=9.0560 alpha=90.00 beta=90.00 gamma=120.00
Element x y z (fractional)
Be 0.0000 0.0000 0.0000
Be 0.3333 0.6667 0.1167
Be 0.6667 0.3333 0.8833
Br 0.3333 0.6667 0.7249
Br 0.6667 0.3333 0.2751


Copy entry 2 word for word.
This entry pairs a crystal structure of Be3Br2 with its calculated powder XRD pattern. Radiation: CuKα. Structure: a cell relaxed with PBE.
Lines closer than 0.1° are merged.

Largest 6 diffraction maxima, most intense first, 15° ≤ 2θ ≤ 90°:
2theta, I_rel
31.39, 100
19.61, 66
42.47, 45
35.89, 38
56.88, 22
29.76, 22

Structural model:
Unit cell a=3.4665 b=3.4665 c=9.0560 alpha=90.00 beta=90.00 gamma=120.00
Element x y z (fractional)
Be 0.0000 0.0000 0.0000
Be 0.3333 0.6667 0.1167
Be 0.6667 0.3333 0.8833
Br 0.3333 0.6667 0.7249
Br 0.6667 0.3333 0.2751